# KMnAs
Computed X-ray powder pattern, copper Kα. Input: a DFT-relaxed cell (PBE, the Materials Project).

Peak list (10 most intense, 2θ from 5° to 70°, in order of rising 2θ)
2θ (°), intensity
11.10, 100
23.20, 17
28.88, 17
30.34, 81
36.79, 56
41.30, 48
44.98, 23
50.30, 16
52.10, 33
54.79, 18

Crystal structure
Unit cell a=4.372 b=4.372 c=7.975 alpha=90.00 beta=90.00 gamma=90.00
Space group P4/nmm (No. 129, origin choice 2)
One atom of each set of equivalent atoms:
K1 0.250 0.250 0.153 (multiplicity 2)
Mn1 0.250 0.750 0.500 (multiplicity 2)
As1 0.250 0.250 0.671 (multiplicity 2)


# ThCo2Ge2
Computed X-ray powder pattern, copper Kα. Input: a DFT-relaxed cell (PBE, the Materials Project).

Peak list (10 most intense, 2θ from 5° to 70°, in order of rising 2θ)
2θ (°), intensity
23.27, 34
30.46, 37
34.93, 100
35.65, 86
43.61, 56
51.53, 25
57.05, 49
63.38, 18
65.34, 21
69.75, 20

Crystal structure
Unit cell a=4.151 b=4.151 c=9.809 alpha=90.00 beta=90.00 gamma=90.00
Space group I4/mmm (No. 139)
One atom of each set of equivalent atoms:
Th1 0.000 0.000 0.000 (multiplicity 2)
Co1 0.000 0.500 0.250 (multiplicity 4)
Ge1 0.000 0.000 0.366 (multiplicity 4)


# CsNdS2
Computed X-ray powder pattern, copper Kα. Input: a DFT-relaxed cell (PBE, the Materials Project).

Peak list (10 most intense, 2θ from 5° to 70°, in order of rising 2θ)
2θ (°), intensity
22.02, 35
24.80, 19
26.61, 100
29.39, 59
32.93, 16
41.57, 45
42.53, 42
48.40, 27
50.88, 17
63.57, 17

Crystal structure
Unit cell a=4.2511 b=4.2511 c=16.1458 alpha=90.00 beta=90.00 gamma=120.00
Space group P6_3/mmc (No. 194)
One atom of each set of equivalent atoms:
Cs1 0.3333 0.6667 0.2500 (multiplicity 2)
Nd1 0.0000 0.0000 0.0000 (multiplicity 2)
S1 0.3333 0.6667 0.5936 (multiplicity 4)